(1)
For Na2Al2Si3H2O10, a DFT-relaxed cell (PBE, the Materials Project) gives the calculated PXRD pattern in this record (Cu Kα X-rays).
No peak broadening, texture or thermal motion is included.

Structure:
```
data_Na2Al2Si3H2O10
_symmetry_space_group_name_H-M 'P 1'
_symmetry_Int_Tables_number 1
_cell_length_a 9.891
_cell_length_b 9.581
_cell_length_c 12.924
_cell_angle_alpha 49.45
_cell_angle_beta 47.39
_cell_angle_gamma 83.16
loop_
_symmetry_equiv_pos_as_xyz
'x,y,z'
loop_
_atom_site_label
_atom_site_fract_x
_atom_site_fract_y
_atom_site_fract_z
_atom_site_occupancy
Na1 0.255 0.745 0.314 1
Na2 0.564 0.936 0.505 1
Na3 0.745 0.255 0.686 1
Na4 0.936 0.564 0.995 1
Al1 0.135 0.877 0.555 1
Al2 0.695 0.818 0.115 1
Al3 0.818 0.695 0.373 1
Al4 0.877 0.135 0.432 1
Si1 0.135 0.135 0.865 1
Si2 0.371 0.640 0.558 1
Si3 0.385 0.385 0.115 1
Si4 0.640 0.371 0.431 1
Si5 0.692 0.819 0.879 1
Si6 0.819 0.692 0.610 1
H1 0.128 0.346 0.519 1
H2 0.243 0.731 0.904 1
H3 0.346 0.128 0.007 1
H4 0.731 0.243 0.122 1
O1 0.030 0.758 0.544 1
O2 0.055 0.949 0.086 1
O3 0.164 0.340 0.195 1
O4 0.188 0.367 0.779 1
O5 0.247 0.746 0.627 1
O6 0.340 0.164 0.301 1
O7 0.367 0.188 0.666 1
O8 0.458 0.747 0.346 1
O9 0.471 0.584 0.062 1
O10 0.582 0.706 0.492 1
O11 0.584 0.471 0.883 1
O12 0.623 0.870 0.003 1
O13 0.706 0.582 0.220 1
O14 0.746 0.247 0.380 1
O15 0.747 0.458 0.449 1
O16 0.758 0.030 0.668 1
O17 0.801 0.904 0.503 1
O18 0.870 0.623 0.504 1
O19 0.904 0.801 0.792 1
O20 0.949 0.055 0.910 1
```

Top 10 peaks for 2θ = 10–80°, in order of falling intensity:
- 5.962 Å, 14.9°, rel. 100
- 6.458 Å, 13.7°, rel. 68
- 4.345 Å, 20.4°, rel. 56
- 4.418 Å, 20.1°, rel. 55
- 2.820 Å, 31.7°, rel. 32
- 2.859 Å, 31.3°, rel. 31
- 3.203 Å, 27.9°, rel. 19
- 3.121 Å, 28.6°, rel. 19
- 2.981 Å, 30.0°, rel. 19
- 4.651 Å, 19.1°, rel. 18



(2)
For Na4Al3Si3HO13, a DFT-relaxed cell (PBE, the Materials Project) gives the calculated PXRD pattern in this record (Cu Kα X-rays).
No peak broadening, texture or thermal motion is included.

Structure:
```
data_Na4Al3Si3HO13
_symmetry_space_group_name_H-M 'P 1'
_symmetry_Int_Tables_number 1
_cell_length_a 8.834
_cell_length_b 8.834
_cell_length_c 8.834
_cell_angle_alpha 90.35
_cell_angle_beta 90.35
_cell_angle_gamma 90.35
loop_
_symmetry_equiv_pos_as_xyz
'x,y,z'
loop_
_atom_site_label
_atom_site_fract_x
_atom_site_fract_y
_atom_site_fract_z
_atom_site_occupancy
Na1 0.000 0.000 0.000 1
Na2 0.019 0.692 0.692 1
Na3 0.192 0.192 0.519 1
Na4 0.192 0.519 0.192 1
Na5 0.500 0.500 0.500 1
Na6 0.519 0.192 0.192 1
Na7 0.692 0.019 0.692 1
Na8 0.692 0.692 0.019 1
Al1 0.100 0.852 0.351 1
Al2 0.351 0.100 0.852 1
Al3 0.352 0.600 0.851 1
Al4 0.600 0.851 0.352 1
Al5 0.851 0.352 0.600 1
Al6 0.852 0.351 0.100 1
Si1 0.101 0.350 0.852 1
Si2 0.350 0.852 0.101 1
Si3 0.352 0.850 0.601 1
Si4 0.601 0.352 0.850 1
Si5 0.850 0.601 0.352 1
Si6 0.852 0.101 0.350 1
H1 0.276 0.276 0.276 1
H2 0.776 0.776 0.776 1
O1 0.203 0.213 0.780 1
O2 0.205 0.487 0.924 1
O3 0.213 0.780 0.203 1
O4 0.215 0.923 0.499 1
O5 0.277 0.987 0.998 1
O6 0.280 0.713 0.703 1
O7 0.340 0.340 0.340 1
O8 0.423 0.715 0.999 1
O9 0.424 0.987 0.705 1
O10 0.487 0.777 0.498 1
O11 0.487 0.924 0.205 1
O12 0.498 0.487 0.777 1
O13 0.499 0.215 0.923 1
O14 0.703 0.280 0.713 1
O15 0.705 0.424 0.987 1
O16 0.713 0.703 0.280 1
O17 0.715 0.999 0.423 1
O18 0.777 0.498 0.487 1
O19 0.780 0.203 0.213 1
O20 0.840 0.840 0.840 1
O21 0.923 0.499 0.215 1
O22 0.924 0.205 0.487 1
O23 0.987 0.705 0.424 1
O24 0.987 0.998 0.277 1
O25 0.998 0.277 0.987 1
O26 0.999 0.423 0.715 1
```

Top 10 peaks for 2θ = 10–80°, in order of falling intensity:
- 3.612 Å, 24.6°, rel. 100
- 6.247 Å, 14.2°, rel. 67
- 3.588 Å, 24.8°, rel. 32
- 2.555 Å, 35.1°, rel. 26
- 2.367 Å, 38.0°, rel. 19
- 2.788 Å, 32.1°, rel. 18
- 1.557 Å, 59.4°, rel. 16
- 1.566 Å, 59.0°, rel. 14
- 2.088 Å, 43.3°, rel. 13
- 2.798 Å, 32.0°, rel. 12



(3)
For NdAlH6, a DFT-relaxed cell (PBE, the Materials Project) gives the calculated PXRD pattern in this record (Cu Kα X-rays).
No peak broadening, texture or thermal motion is included.

Structure:
```
data_NdAlH6
_symmetry_space_group_name_H-M 'P 1'
_symmetry_Int_Tables_number 1
_cell_length_a 4.253
_cell_length_b 4.253
_cell_length_c 4.253
_cell_angle_alpha 98.46
_cell_angle_beta 98.46
_cell_angle_gamma 98.46
loop_
_symmetry_equiv_pos_as_xyz
'x,y,z'
loop_
_atom_site_label
_atom_site_fract_x
_atom_site_fract_y
_atom_site_fract_z
_atom_site_occupancy
Nd1 0.000 0.000 0.000 1
Al1 0.500 0.500 0.500 1
H1 0.202 0.202 0.562 1
H2 0.202 0.562 0.202 1
H3 0.438 0.798 0.798 1
H4 0.562 0.202 0.202 1
H5 0.798 0.438 0.798 1
H6 0.798 0.798 0.438 1
```

Top 10 peaks for 2θ = 10–80°, in order of falling intensity:
- 3.221 Å, 27.7°, rel. 100
- 4.144 Å, 21.4°, rel. 85
- 2.706 Å, 33.1°, rel. 62
- 1.743 Å, 52.5°, rel. 35
- 2.072 Å, 43.7°, rel. 28
- 1.996 Å, 45.4°, rel. 26
- 2.543 Å, 35.3°, rel. 23
- 1.860 Å, 49.0°, rel. 20
- 1.737 Å, 52.7°, rel. 16
- 1.384 Å, 67.7°, rel. 16



(4)
For Y3Al2Ni6H9, a DFT-relaxed cell (PBE, the Materials Project) gives the calculated PXRD pattern in this record (Cu Kα X-rays).
No peak broadening, texture or thermal motion is included.

Structure:
```
data_Y3Al2Ni6H9
_symmetry_space_group_name_H-M 'P 1'
_symmetry_Int_Tables_number 1
_cell_length_a 7.949
_cell_length_b 7.949
_cell_length_c 7.949
_cell_angle_alpha 109.47
_cell_angle_beta 109.47
_cell_angle_gamma 109.47
loop_
_symmetry_equiv_pos_as_xyz
'x,y,z'
loop_
_atom_site_label
_atom_site_fract_x
_atom_site_fract_y
_atom_site_fract_z
_atom_site_occupancy
Y1 0.000 0.269 0.269 1
Y2 0.000 0.731 0.731 1
Y3 0.269 0.000 0.269 1
Y4 0.269 0.269 0.000 1
Y5 0.731 0.000 0.731 1
Y6 0.731 0.731 0.000 1
Al1 0.000 0.000 0.500 1
Al2 0.000 0.500 0.000 1
Al3 0.500 0.000 0.000 1
Al4 0.500 0.500 0.500 1
Ni1 0.000 0.339 0.661 1
Ni2 0.000 0.661 0.339 1
Ni3 0.322 0.661 0.661 1
Ni4 0.339 0.000 0.661 1
Ni5 0.339 0.339 0.678 1
Ni6 0.339 0.661 0.000 1
Ni7 0.339 0.678 0.339 1
Ni8 0.661 0.000 0.339 1
Ni9 0.661 0.322 0.661 1
Ni10 0.661 0.339 0.000 1
Ni11 0.661 0.661 0.322 1
Ni12 0.678 0.339 0.339 1
H1 0.000 0.000 0.000 1
H2 0.000 0.000 0.265 1
H3 0.000 0.000 0.735 1
H4 0.000 0.265 0.000 1
H5 0.000 0.500 0.500 1
H6 0.000 0.735 0.000 1
H7 0.250 0.500 0.750 1
H8 0.250 0.750 0.500 1
H9 0.265 0.000 0.000 1
H10 0.265 0.265 0.265 1
H11 0.500 0.000 0.500 1
H12 0.500 0.250 0.750 1
H13 0.500 0.500 0.000 1
H14 0.500 0.750 0.250 1
H15 0.735 0.000 0.000 1
H16 0.735 0.735 0.735 1
H17 0.750 0.250 0.500 1
H18 0.750 0.500 0.250 1
```

Top 10 peaks for 2θ = 10–80°, in order of falling intensity:
- 2.163 Å, 41.8°, rel. 100
- 2.453 Å, 36.6°, rel. 42
- 2.650 Å, 33.8°, rel. 20
- 1.384 Å, 67.7°, rel. 19
- 1.489 Å, 62.4°, rel. 17
- 1.249 Å, 76.2°, rel. 15
- 2.295 Å, 39.3°, rel. 14
- 2.903 Å, 30.8°, rel. 12
- 3.245 Å, 27.5°, rel. 12
- 1.530 Å, 60.5°, rel. 12



(5)
For Zr3Al3Ni3H2, a DFT-relaxed cell (PBE, the Materials Project) gives the calculated PXRD pattern in this record (Cu Kα X-rays).
No peak broadening, texture or thermal motion is included.

Structure:
```
data_Zr3Al3Ni3H2
_symmetry_space_group_name_H-M 'P 1'
_symmetry_Int_Tables_number 1
_cell_length_a 6.757
_cell_length_b 6.757
_cell_length_c 3.713
_cell_angle_alpha 90.00
_cell_angle_beta 90.00
_cell_angle_gamma 120.00
loop_
_symmetry_equiv_pos_as_xyz
'x,y,z'
loop_
_atom_site_label
_atom_site_fract_x
_atom_site_fract_y
_atom_site_fract_z
_atom_site_occupancy
Zr1 0.000 0.594 0.000 1
Zr2 0.406 0.406 0.000 1
Zr3 0.594 0.000 0.000 1
Al1 0.000 0.247 0.500 1
Al2 0.247 0.000 0.500 1
Al3 0.753 0.753 0.500 1
Ni1 0.000 0.000 0.000 1
Ni2 0.333 0.667 0.500 1
Ni3 0.667 0.333 0.500 1
H1 0.333 0.667 0.000 1
H2 0.667 0.333 0.000 1
```

Top 10 peaks for 2θ = 10–80°, in order of falling intensity:
- 2.499 Å, 35.9°, rel. 100
- 2.298 Å, 39.2°, rel. 96
- 1.951 Å, 46.6°, rel. 35
- 2.212 Å, 40.8°, rel. 30
- 3.378 Å, 26.4°, rel. 30
- 1.857 Å, 49.1°, rel. 25
- 1.263 Å, 75.3°, rel. 24
- 1.900 Å, 47.9°, rel. 24
- 1.487 Å, 62.4°, rel. 21
- 1.345 Å, 70.0°, rel. 19